Structure and calculated powder XRD pattern of CdHg3S4 (a crystal structure in Alexandria, relaxed with PBE; Cu Ka).

Top 8 peaks for 10 to 80 degrees two-theta, low angle first:
Position (°2θ)	Rel. int.
25.8	100
29.9	33
42.8	53
50.6	49
53.1	9
68.4	20
70.4	8
78.3	18

Structural model:
```
CdHg3S4
1.0
-2.9914 2.9914 5.9729
2.9914 -2.9914 5.9729
2.9914 2.9914 -5.9729
Cd Hg S
1 3 4
direct
0.0000 0.0000 0.0000
0.2500 0.7500 0.5000
0.5000 0.5000 0.0000
0.7500 0.2500 0.5000
0.1240 0.6277 0.0000
0.3723 0.3723 0.4963
0.6277 0.1240 0.0000
0.8760 0.8760 0.5037
```

***

Structure and calculated powder XRD pattern of CdHgS2 (a crystal structure in Alexandria, relaxed with PBE; Cu Ka).

Top 8 peaks for 10 to 80 degrees two-theta, low angle first:
Position (°2θ)	Rel. int.
23.3	66
25.7	100
26.7	94
27.2	97
28.7	69
31.7	88
37.9	85
47.2	94

Structural model:
```
CdHgS2
1.0
6.9395 0.0000 0.0000
0.0000 3.9451 0.0000
0.0000 0.0000 14.8827
Cd Hg S
4 4 8
direct
0.1726 0.2500 0.0804
0.3274 0.7500 0.5804
0.6726 0.2500 0.4196
0.8274 0.7500 0.9196
0.1925 0.7500 0.3306
0.3075 0.2500 0.8306
0.6925 0.7500 0.1694
0.8075 0.2500 0.6694
0.1834 0.2500 0.6707
0.1941 0.7500 0.9358
0.3059 0.2500 0.4358
0.3166 0.7500 0.1707
0.6834 0.2500 0.8293
0.6941 0.7500 0.5642
0.8059 0.2500 0.0642
0.8166 0.7500 0.3293
```

***

Structure and calculated powder XRD pattern of CdHg4S5 (a crystal structure in Alexandria, relaxed with PBE; Cu Ka).

Top 8 peaks for 10 to 80 degrees two-theta, low angle first:
Position (°2θ)	Rel. int.
24.3	43
25.8	35
27.6	100
35.7	24
42.7	38
46.6	40
50.6	34
51.6	19

Structural model:
```
CdHg4S5
1.0
4.2325 0.0000 0.0000
-2.1163 3.6655 0.0000
0.0000 0.0000 34.5248
Cd Hg S
2 8 10
direct
0.0000 0.0000 0.0000
0.0000 0.0000 0.1985
0.0000 0.0000 0.3979
0.0000 0.0000 0.5989
0.0000 0.0000 0.7999
0.3333 0.6667 0.0987
0.3333 0.6667 0.2973
0.3333 0.6667 0.4984
0.3333 0.6667 0.6994
0.3333 0.6667 0.9003
0.0000 0.0000 0.1237
0.0000 0.0000 0.3226
0.0000 0.0000 0.5235
0.0000 0.0000 0.7244
0.0000 0.0000 0.9251
0.3333 0.6667 0.0233
0.3333 0.6667 0.2220
0.3333 0.6667 0.4231
0.3333 0.6667 0.6240
0.3333 0.6667 0.8248
```